# 1
Structure and computed powder diffraction line list of SrHgSe2 (a cell relaxed with GGA-PBE; copper Kα).
Lines closer than 0.1° are merged.

Peak list (12 most intense, 2θ from 5° to 70°, low angle first)
- 2θ = 21.32°, I 77
- 2θ = 22.69°, I 45
- 2θ = 23.92°, I 100
- 2θ = 25.51°, I 50
- 2θ = 26.90°, I 64
- 2θ = 29.54°, I 90
- 2θ = 36.55°, I 88
- 2θ = 41.08°, I 42
- 2θ = 42.11°, I 28
- 2θ = 43.42°, I 28
- 2θ = 44.02°, I 61
- 2θ = 47.84°, I 26

Crystal structure
abc: 4.244 4.395 7.111
angles: 90.00 100.86 90.00
Atoms (fractional coordinates):
Sr: 0.000 0.000 0.000
Hg: 0.531 0.500 0.527
Se: 0.468 0.500 0.885
Se: 0.597 0.000 0.334

# 2
Structure and computed powder diffraction line list of HgTeSe (a cell relaxed with GGA-PBE; copper Kα).
Lines closer than 0.1° are merged.

Peak list (12 most intense, 2θ from 5° to 70°, low angle first)
- 2θ = 19.55°, I 100
- 2θ = 22.83°, I 36
- 2θ = 23.72°, I 40
- 2θ = 25.90°, I 28
- 2θ = 28.83°, I 71
- 2θ = 30.94°, I 60
- 2θ = 32.73°, I 37
- 2θ = 36.76°, I 31
- 2θ = 37.03°, I 31
- 2θ = 45.66°, I 29
- 2θ = 46.54°, I 30
- 2θ = 48.81°, I 37

Crystal structure
abc: 5.515 5.780 7.562
angles: 90.00 104.07 90.00
Atoms (fractional coordinates):
Hg: 0.204 0.250 0.367
Hg: 0.796 0.750 0.633
Te: 0.425 0.750 0.007
Te: 0.575 0.250 0.993
Se: 0.303 0.750 0.657
Se: 0.697 0.250 0.343

# 3
Structure and computed powder diffraction line list of Hg5TeSe4 (a cell relaxed with GGA-PBE; copper Kα).
Lines closer than 0.1° are merged.

Peak list (12 most intense, 2θ from 5° to 70°, low angle first)
- 2θ = 22.90°, I 85
- 2θ = 24.26°, I 52
- 2θ = 25.96°, I 100
- 2θ = 33.60°, I 36
- 2θ = 40.23°, I 80
- 2θ = 43.74°, I 70
- 2θ = 46.79°, I 13
- 2θ = 47.53°, I 53
- 2θ = 48.50°, I 19
- 2θ = 60.92°, I 26
- 2θ = 64.78°, I 17
- 2θ = 68.32°, I 14

Crystal structure
abc: 4.484 4.484 36.691
angles: 90.00 90.00 120.00
Atoms (fractional coordinates):
Hg: 0.000 0.000 0.000
Hg: 0.000 0.000 0.195
Hg: 0.000 0.000 0.391
Hg: 0.000 0.000 0.586
Hg: 0.000 0.000 0.793
Hg: 0.667 0.333 0.097
Hg: 0.667 0.333 0.293
Hg: 0.667 0.333 0.488
Hg: 0.667 0.333 0.684
Hg: 0.667 0.333 0.891
Te: 0.667 0.333 0.763
Te: 0.667 0.333 0.969
Se: 0.000 0.000 0.074
Se: 0.000 0.000 0.269
Se: 0.000 0.000 0.465
Se: 0.000 0.000 0.661
Se: 0.000 0.000 0.867
Se: 0.667 0.333 0.171
Se: 0.667 0.333 0.367
Se: 0.667 0.333 0.563

# 4
Structure and computed powder diffraction line list of HgTeSe (a cell relaxed with GGA-PBE; copper Kα).
Lines closer than 0.1° are merged.

Peak list (12 most intense, 2θ from 5° to 70°, low angle first)
- 2θ = 23.99°, I 50
- 2θ = 24.28°, I 55
- 2θ = 29.61°, I 100
- 2θ = 33.03°, I 65
- 2θ = 41.42°, I 54
- 2θ = 47.41°, I 24
- 2θ = 49.58°, I 40
- 2θ = 53.82°, I 12
- 2θ = 53.97°, I 25
- 2θ = 56.90°, I 32
- 2θ = 61.01°, I 7
- 2θ = 69.30°, I 8

Crystal structure
abc: 7.818 7.818 7.818
angles: 151.60 151.60 40.59
Atoms (fractional coordinates):
Hg: 0.000 0.000 0.000
Te: 0.281 0.281 0.000
Se: 0.724 0.724 0.000

# 5
Structure and computed powder diffraction line list of Th2HgSe (a cell relaxed with GGA-PBE; copper Kα).
Lines closer than 0.1° are merged.

Peak list (12 most intense, 2θ from 5° to 70°, low angle first)
- 2θ = 25.02°, I 6
- 2θ = 25.90°, I 7
- 2θ = 29.17°, I 100
- 2θ = 31.42°, I 9
- 2θ = 39.86°, I 40
- 2θ = 43.53°, I 35
- 2θ = 46.89°, I 7
- 2θ = 53.26°, I 19
- 2θ = 56.84°, I 7
- 2θ = 60.49°, I 12
- 2θ = 65.90°, I 16
- 2θ = 69.79°, I 6

Crystal structure
abc: 8.113 8.113 8.113
angles: 29.70 29.70 29.70
Atoms (fractional coordinates):
Th: 0.242 0.242 0.242
Th: 0.758 0.758 0.758
Hg: 0.000 0.000 0.000
Se: 0.500 0.500 0.500

# 6
Structure and computed powder diffraction line list of Ti4HgSe8 (a cell relaxed with GGA-PBE; copper Kα).
Lines closer than 0.1° are merged.

Peak list (12 most intense, 2θ from 5° to 70°, low angle first)
- 2θ = 10.67°, I 36
- 2θ = 14.86°, I 29
- 2θ = 16.10°, I 24
- 2θ = 20.33°, I 14
- 2θ = 27.36°, I 14
- 2θ = 32.52°, I 100
- 2θ = 34.32°, I 16
- 2θ = 38.76°, I 17
- 2θ = 41.34°, I 33
- 2θ = 51.55°, I 31
- 2θ = 62.21°, I 14
- 2θ = 62.29°, I 15

Crystal structure
abc: 9.246 9.246 9.246
angles: 45.10 45.10 45.10
Atoms (fractional coordinates):
Ti: 0.000 0.000 0.000
Ti: 0.000 0.500 0.500
Ti: 0.500 0.000 0.500
Ti: 0.500 0.500 0.000
Hg: 0.500 0.500 0.500
Se: 0.229 0.229 0.729
Se: 0.229 0.729 0.229
Se: 0.271 0.271 0.271
Se: 0.271 0.771 0.771
Se: 0.729 0.229 0.229
Se: 0.729 0.729 0.729
Se: 0.771 0.271 0.771
Se: 0.771 0.771 0.271

# 7
Structure and computed powder diffraction line list of Tl4HgSe2 (a cell relaxed with GGA-PBE; copper Kα).
Lines closer than 0.1° are merged.

Peak list (12 most intense, 2θ from 5° to 70°, low angle first)
- 2θ = 17.71°, I 43
- 2θ = 24.95°, I 20
- 2θ = 25.34°, I 22
- 2θ = 25.50°, I 48
- 2θ = 28.25°, I 77
- 2θ = 28.89°, I 100
- 2θ = 33.31°, I 44
- 2θ = 33.79°, I 59
- 2θ = 35.85°, I 36
- 2θ = 42.27°, I 19
- 2θ = 46.96°, I 18
- 2θ = 53.75°, I 25

Crystal structure
abc: 10.020 8.644 8.555
angles: 71.26 54.78 53.96
Atoms (fractional coordinates):
Tl: 0.073 0.607 0.243
Tl: 0.077 0.243 0.607
Tl: 0.143 0.675 0.671
Tl: 0.243 0.077 0.073
Tl: 0.511 0.671 0.675
Tl: 0.607 0.073 0.077
Tl: 0.671 0.511 0.143
Tl: 0.675 0.143 0.511
Hg: 0.000 0.000 0.000
Hg: 0.750 0.750 0.750
Se: 0.373 0.378 0.876
Se: 0.373 0.876 0.378
Se: 0.378 0.373 0.373
Se: 0.876 0.373 0.373

# 8
Structure and computed powder diffraction line list of Tl5HgSe (a cell relaxed with GGA-PBE; copper Kα).
Lines closer than 0.1° are merged.

Peak list (12 most intense, 2θ from 5° to 70°, low angle first)
- 2θ = 26.54°, I 25
- 2θ = 27.43°, I 47
- 2θ = 29.34°, I 90
- 2θ = 29.58°, I 56
- 2θ = 31.09°, I 75
- 2θ = 31.39°, I 84
- 2θ = 31.89°, I 100
- 2θ = 33.21°, I 43
- 2θ = 35.35°, I 29
- 2θ = 35.83°, I 20
- 2θ = 36.15°, I 28
- 2θ = 48.76°, I 21

Crystal structure
abc: 6.577 16.260 8.976
angles: 90.00 114.94 90.00
Atoms (fractional coordinates):
Tl: 0.094 0.028 0.310
Tl: 0.094 0.472 0.810
Tl: 0.201 0.623 0.602
Tl: 0.201 0.877 0.102
Tl: 0.242 0.204 0.642
Tl: 0.242 0.296 0.142
Tl: 0.366 0.101 0.022
Tl: 0.366 0.399 0.522
Tl: 0.403 0.658 0.039
Tl: 0.403 0.842 0.539
Tl: 0.597 0.158 0.461
Tl: 0.597 0.342 0.961
Tl: 0.634 0.601 0.478
Tl: 0.634 0.899 0.978
Tl: 0.758 0.704 0.858
Tl: 0.758 0.796 0.358
Tl: 0.799 0.123 0.898
Tl: 0.799 0.377 0.398
Tl: 0.906 0.528 0.190
Tl: 0.906 0.972 0.690
Hg: 0.120 0.710 0.250
Hg: 0.120 0.790 0.750
Hg: 0.880 0.210 0.250
Hg: 0.880 0.290 0.750
Se: 0.363 0.018 0.691
Se: 0.363 0.482 0.191
Se: 0.637 0.518 0.809
Se: 0.637 0.982 0.309

# 9
Structure and computed powder diffraction line list of TlHg4Se5 (a cell relaxed with GGA-PBE; copper Kα).
Lines closer than 0.1° are merged.

Peak list (12 most intense, 2θ from 5° to 70°, low angle first)
- 2θ = 24.10°, I 32
- 2θ = 24.34°, I 100
- 2θ = 28.11°, I 21
- 2θ = 40.02°, I 43
- 2θ = 40.33°, I 46
- 2θ = 47.27°, I 16
- 2θ = 47.53°, I 32
- 2θ = 47.66°, I 17
- 2θ = 58.12°, I 15
- 2θ = 63.51°, I 6
- 2θ = 63.83°, I 7
- 2θ = 64.16°, I 14

Crystal structure
abc: 18.641 18.641 18.641
angles: 13.78 13.78 13.78
Atoms (fractional coordinates):
Tl: 0.000 0.000 0.000
Hg: 0.200 0.200 0.200
Hg: 0.404 0.404 0.404
Hg: 0.598 0.598 0.598
Hg: 0.802 0.802 0.802
Se: 0.151 0.151 0.151
Se: 0.355 0.355 0.355
Se: 0.549 0.549 0.549
Se: 0.753 0.753 0.753
Se: 0.948 0.948 0.948

# 10
Structure and computed powder diffraction line list of Tl6Hg23Se (a cell relaxed with GGA-PBE; copper Kα).
Lines closer than 0.1° are merged.

Peak list (12 most intense, 2θ from 5° to 70°, low angle first)
- 2θ = 28.95°, I 10
- 2θ = 30.75°, I 44
- 2θ = 33.55°, I 100
- 2θ = 35.14°, I 13
- 2θ = 46.15°, I 9
- 2θ = 48.18°, I 9
- 2θ = 51.31°, I 10
- 2θ = 55.40°, I 9
- 2θ = 58.25°, I 9
- 2θ = 59.99°, I 18
- 2θ = 61.02°, I 13
- 2θ = 63.71°, I 9

Crystal structure
abc: 10.684 10.684 10.684
angles: 60.00 60.00 60.00
Atoms (fractional coordinates):
Tl: 0.209 0.209 0.791
Tl: 0.209 0.791 0.209
Tl: 0.209 0.791 0.791
Tl: 0.791 0.209 0.209
Tl: 0.791 0.209 0.791
Tl: 0.791 0.791 0.209
Hg: 0.000 0.000 0.500
Hg: 0.000 0.500 0.000
Hg: 0.000 0.500 0.500
Hg: 0.144 0.619 0.619
Hg: 0.163 0.163 0.163
Hg: 0.163 0.163 0.512
Hg: 0.163 0.512 0.163
Hg: 0.381 0.381 0.381
Hg: 0.381 0.381 0.856
Hg: 0.381 0.856 0.381
Hg: 0.488 0.837 0.837
Hg: 0.500 0.000 0.000
Hg: 0.500 0.000 0.500
Hg: 0.500 0.500 0.000
Hg: 0.500 0.500 0.500
Hg: 0.512 0.163 0.163
Hg: 0.619 0.144 0.619
Hg: 0.619 0.619 0.144
Hg: 0.619 0.619 0.619
Hg: 0.837 0.488 0.837
Hg: 0.837 0.837 0.488
Hg: 0.837 0.837 0.837
Hg: 0.856 0.381 0.381
Se: 0.000 0.000 0.000

# 11
Structure and computed powder diffraction line list of Tl2Hg2Se3 (a cell relaxed with GGA-PBE; copper Kα).
Lines closer than 0.1° are merged.

Peak list (12 most intense, 2θ from 5° to 70°, low angle first)
- 2θ = 23.39°, I 24
- 2θ = 23.94°, I 100
- 2θ = 24.14°, I 31
- 2θ = 24.84°, I 37
- 2θ = 29.97°, I 21
- 2θ = 30.15°, I 49
- 2θ = 31.48°, I 86
- 2θ = 31.67°, I 20
- 2θ = 33.40°, I 33
- 2θ = 34.81°, I 32
- 2θ = 39.62°, I 64
- 2θ = 51.12°, I 25

Crystal structure
abc: 11.449 11.449 7.606
angles: 109.28 109.28 84.97
Atoms (fractional coordinates):
Tl: 0.077 0.923 0.750
Tl: 0.211 0.789 0.250
Tl: 0.312 0.490 0.919
Tl: 0.490 0.312 0.419
Tl: 0.510 0.688 0.581
Tl: 0.688 0.510 0.081
Tl: 0.789 0.211 0.750
Tl: 0.923 0.077 0.250
Hg: 0.043 0.594 0.385
Hg: 0.145 0.293 0.131
Hg: 0.293 0.145 0.631
Hg: 0.406 0.957 0.115
Hg: 0.594 0.043 0.885
Hg: 0.707 0.855 0.369
Hg: 0.855 0.707 0.869
Hg: 0.957 0.406 0.615
Se: 0.075 0.643 0.781
Se: 0.082 0.217 0.727
Se: 0.217 0.082 0.227
Se: 0.261 0.515 0.322
Se: 0.357 0.925 0.719
Se: 0.485 0.739 0.178
Se: 0.515 0.261 0.822
Se: 0.643 0.075 0.281
Se: 0.739 0.485 0.678
Se: 0.783 0.918 0.773
Se: 0.918 0.783 0.273
Se: 0.925 0.357 0.219

# 12
Structure and computed powder diffraction line list of Tl2HgSe2 (a cell relaxed with GGA-PBE; copper Kα).
Lines closer than 0.1° are merged.

Peak list (12 most intense, 2θ from 5° to 70°, low angle first)
- 2θ = 22.94°, I 32
- 2θ = 23.32°, I 26
- 2θ = 23.56°, I 36
- 2θ = 27.46°, I 98
- 2θ = 29.28°, I 40
- 2θ = 33.00°, I 45
- 2θ = 33.18°, I 100
- 2θ = 34.90°, I 40
- 2θ = 39.51°, I 26
- 2θ = 40.06°, I 39
- 2θ = 52.96°, I 47
- 2θ = 53.87°, I 25

Crystal structure
abc: 8.711 8.711 8.559
angles: 90.00 90.00 150.05
Atoms (fractional coordinates):
Tl: 0.060 0.940 0.500
Tl: 0.186 0.814 0.830
Tl: 0.814 0.186 0.330
Tl: 0.940 0.060 0.000
Hg: 0.407 0.593 0.662
Hg: 0.593 0.407 0.162
Se: 0.181 0.819 0.198
Se: 0.455 0.545 0.342
Se: 0.545 0.455 0.842
Se: 0.819 0.181 0.698

Please write out number 11 again, unchanged.
Structure and computed powder diffraction line list of Tl2Hg2Se3 (a cell relaxed with GGA-PBE; copper Kα).
Lines closer than 0.1° are merged.

Peak list (12 most intense, 2θ from 5° to 70°, low angle first)
- 2θ = 23.39°, I 24
- 2θ = 23.94°, I 100
- 2θ = 24.14°, I 31
- 2θ = 24.84°, I 37
- 2θ = 29.97°, I 21
- 2θ = 30.15°, I 49
- 2θ = 31.48°, I 86
- 2θ = 31.67°, I 20
- 2θ = 33.40°, I 33
- 2θ = 34.81°, I 32
- 2θ = 39.62°, I 64
- 2θ = 51.12°, I 25

Crystal structure
abc: 11.449 11.449 7.606
angles: 109.28 109.28 84.97
Atoms (fractional coordinates):
Tl: 0.077 0.923 0.750
Tl: 0.211 0.789 0.250
Tl: 0.312 0.490 0.919
Tl: 0.490 0.312 0.419
Tl: 0.510 0.688 0.581
Tl: 0.688 0.510 0.081
Tl: 0.789 0.211 0.750
Tl: 0.923 0.077 0.250
Hg: 0.043 0.594 0.385
Hg: 0.145 0.293 0.131
Hg: 0.293 0.145 0.631
Hg: 0.406 0.957 0.115
Hg: 0.594 0.043 0.885
Hg: 0.707 0.855 0.369
Hg: 0.855 0.707 0.869
Hg: 0.957 0.406 0.615
Se: 0.075 0.643 0.781
Se: 0.082 0.217 0.727
Se: 0.217 0.082 0.227
Se: 0.261 0.515 0.322
Se: 0.357 0.925 0.719
Se: 0.485 0.739 0.178
Se: 0.515 0.261 0.822
Se: 0.643 0.075 0.281
Se: 0.739 0.485 0.678
Se: 0.783 0.918 0.773
Se: 0.918 0.783 0.273
Se: 0.925 0.357 0.219